Diffraction record for NiSe2O2F6. The powder diffractogram is simulated, not measured: it uses DFT lattice parameters and positions (PBE+U) and Cu Kα, 1.54184 Å.

Principal peaks in the range 10 to 90 degrees two-theta, in order of rising 2θ:
2θ 24.16, rel. 100
2θ 28.21, rel. 53
2θ 39.80, rel. 9
2θ 47.57, rel. 35
2θ 49.50, rel. 16
2θ 49.94, rel. 10
2θ 57.95, rel. 11
2θ 58.35, rel. 16
2θ 64.08, rel. 11
2θ 73.11, rel. 9

Structure:
Lattice parameters (Å, degrees): 6.3257 6.3257 4.9753 90.00 90.00 120.00
Sites, in units of the cell vectors:
Ni: 0.0000 0.0000 0.0000
Se: 0.3333 0.6667 0.7288
Se: 0.6667 0.3333 0.2712
O: 0.3333 0.6667 0.4072
O: 0.6667 0.3333 0.5928
F: 0.1420 0.8377 0.7685
F: 0.1623 0.3043 0.7685
F: 0.3043 0.1420 0.2315
F: 0.6957 0.8580 0.7685
F: 0.8377 0.6957 0.2315
F: 0.8580 0.1623 0.2315

***

Diffraction record for NiPF. The powder diffractogram is simulated, not measured: it uses DFT lattice parameters and positions (PBE+U) and Cu Kα, 1.54184 Å.

Principal peaks in the range 10 to 90 degrees two-theta, in order of rising 2θ:
2θ 10.12, rel. 100
2θ 36.76, rel. 25
2θ 41.33, rel. 8
2θ 43.38, rel. 23
2θ 43.67, rel. 12
2θ 44.67, rel. 7
2θ 48.80, rel. 8
2θ 52.10, rel. 7
2θ 61.46, rel. 7
2θ 72.36, rel. 6

Structure:
Lattice parameters (Å, degrees): 8.7378 4.1738 4.1704 90.00 90.00 90.00
Sites, in units of the cell vectors:
Ni: 0.1068 0.0605 0.2500
Ni: 0.1068 0.4395 0.7500
Ni: 0.8932 0.5605 0.2500
Ni: 0.8932 0.9395 0.7500
P: 0.1877 0.5594 0.2500
P: 0.1877 0.9406 0.7500
P: 0.8123 0.0594 0.2500
P: 0.8123 0.4406 0.7500
F: 0.3715 0.5304 0.2500
F: 0.3715 0.9696 0.7500
F: 0.6285 0.0304 0.2500
F: 0.6285 0.4696 0.7500

***

Diffraction record for PaNi2F11. The powder diffractogram is simulated, not measured: it uses DFT lattice parameters and positions (PBE+U) and Cu Kα, 1.54184 Å.

Principal peaks in the range 10 to 90 degrees two-theta, in order of rising 2θ:
2θ 14.69, rel. 59
2θ 20.83, rel. 15
2θ 22.44, rel. 100
2θ 24.83, rel. 19
2θ 26.92, rel. 62
2θ 33.16, rel. 13
2θ 33.28, rel. 13
2θ 45.81, rel. 34
2θ 48.36, rel. 32
2θ 48.49, rel. 23

Structure:
Lattice parameters (Å, degrees): 7.9995 7.9995 7.9995 115.73 115.42 97.85
Sites, in units of the cell vectors:
Pa: 0.2500 0.2500 0.0000
Pa: 0.7500 0.7500 0.0000
Ni: 0.1592 0.6587 0.8178
Ni: 0.3408 0.1587 0.4995
Ni: 0.6592 0.8413 0.5005
Ni: 0.8408 0.3413 0.1822
F: 0.0000 0.5000 0.5000
F: 0.0765 0.9200 0.2664
F: 0.0802 0.3468 0.1576
F: 0.1536 0.4200 0.8435
F: 0.1892 0.9227 0.8424
F: 0.1963 0.3052 0.5015
F: 0.3037 0.8052 0.1089
F: 0.3108 0.1532 0.7334
F: 0.3464 0.1899 0.2664
F: 0.4198 0.5773 0.2666
F: 0.4235 0.6899 0.8435
F: 0.5000 0.0000 0.5000
F: 0.5765 0.3101 0.1565
F: 0.5802 0.4227 0.7334
F: 0.6536 0.8101 0.7336
F: 0.6892 0.8468 0.2666
F: 0.6963 0.1948 0.8911
F: 0.8037 0.6948 0.4985
F: 0.8108 0.0773 0.1576
F: 0.8464 0.5800 0.1565
F: 0.9198 0.6532 0.8424
F: 0.9235 0.0800 0.7336

***

Diffraction record for Ni6Pb4F19. The powder diffractogram is simulated, not measured: it uses DFT lattice parameters and positions (PBE+U) and Cu Kα, 1.54184 Å.

Principal peaks in the range 10 to 90 degrees two-theta, in order of rising 2θ:
2θ 23.22, rel. 100
2θ 30.12, rel. 52
2θ 33.07, rel. 17
2θ 35.81, rel. 20
2θ 40.80, rel. 66
2θ 47.47, rel. 20
2θ 49.53, rel. 17
2θ 53.49, rel. 25
2θ 59.07, rel. 26
2θ 74.28, rel. 25

Structure:
Lattice parameters (Å, degrees): 8.1262 8.1262 8.1262 109.47 109.47 109.47
Sites, in units of the cell vectors:
Ni: 0.1589 0.5000 0.6589
Ni: 0.3411 0.8411 0.5000
Ni: 0.5000 0.3411 0.8411
Ni: 0.5000 0.6589 0.1589
Ni: 0.6589 0.1589 0.5000
Ni: 0.8411 0.5000 0.3411
Pb: 0.0000 0.0000 0.3224
Pb: 0.0000 0.3224 0.0000
Pb: 0.3224 0.0000 0.0000
Pb: 0.6776 0.6776 0.6776
F: 0.0000 0.0000 0.0000
F: 0.0000 0.3501 0.3501
F: 0.0000 0.6499 0.6499
F: 0.0418 0.6889 0.3066
F: 0.2648 0.6471 0.9582
F: 0.3066 0.0418 0.6889
F: 0.3111 0.3529 0.6177
F: 0.3501 0.0000 0.3501
F: 0.3501 0.3501 0.0000
F: 0.3529 0.6177 0.3111
F: 0.3823 0.7352 0.6934
F: 0.6177 0.3111 0.3529
F: 0.6471 0.9582 0.2648
F: 0.6499 0.0000 0.6499
F: 0.6499 0.6499 0.0000
F: 0.6889 0.3066 0.0418
F: 0.6934 0.3823 0.7352
F: 0.7352 0.6934 0.3823
F: 0.9582 0.2648 0.6471

***

Diffraction record for TlNiPbF6. The powder diffractogram is simulated, not measured: it uses DFT lattice parameters and positions (PBE+U) and Cu Kα, 1.54184 Å.

Principal peaks in the range 10 to 90 degrees two-theta, in order of rising 2θ:
2θ 17.59, rel. 18
2θ 26.95, rel. 100
2θ 30.71, rel. 57
2θ 41.31, rel. 52
2θ 45.09, rel. 13
2θ 52.23, rel. 19
2θ 52.34, rel. 37
2θ 54.60, rel. 16
2θ 70.67, rel. 23
2θ 78.99, rel. 13

Structure:
Lattice parameters (Å, degrees): 5.8221 5.8221 4.3854 90.00 90.00 120.00
Sites, in units of the cell vectors:
Tl: 0.0000 0.0000 0.0000
Ni: 0.3333 0.6667 0.1816
Pb: 0.6667 0.3333 0.5193
F: 0.0901 0.3280 0.4142
F: 0.2380 0.9099 0.4142
F: 0.4221 0.4137 0.9503
F: 0.5863 0.0084 0.9503
F: 0.6720 0.7620 0.4142
F: 0.9916 0.5779 0.9503

***

Diffraction record for NiPdF6. The powder diffractogram is simulated, not measured: it uses DFT lattice parameters and positions (PBE+U) and Cu Kα, 1.54184 Å.

Principal peaks in the range 10 to 90 degrees two-theta, in order of rising 2θ:
2θ 23.87, rel. 52
2θ 24.06, rel. 100
2θ 33.27, rel. 15
2θ 34.09, rel. 22
2θ 34.21, rel. 22
2θ 49.27, rel. 16
2θ 54.17, rel. 15
2θ 55.26, rel. 11
2θ 55.39, rel. 11
2θ 60.01, rel. 13

Structure:
Lattice parameters (Å, degrees): 5.0876 5.3866 9.0072 90.00 124.13 90.00
Sites, in units of the cell vectors:
Ni: 0.0000 0.0000 0.0000
Ni: 0.0000 0.5000 0.5000
Pd: 0.5000 0.0000 0.5000
Pd: 0.5000 0.5000 0.0000
F: 0.1166 0.1826 0.4340
F: 0.1166 0.3174 0.9340
F: 0.2642 0.6880 0.4359
F: 0.2642 0.8120 0.9359
F: 0.3870 0.0336 0.2543
F: 0.3870 0.4664 0.7543
F: 0.6130 0.5336 0.2457
F: 0.6130 0.9664 0.7457
F: 0.7358 0.1880 0.0641
F: 0.7358 0.3120 0.5641
F: 0.8834 0.6826 0.0660
F: 0.8834 0.8174 0.5660

***

Diffraction record for Ni2PdF8. The powder diffractogram is simulated, not measured: it uses DFT lattice parameters and positions (PBE+U) and Cu Kα, 1.54184 Å.

Principal peaks in the range 10 to 90 degrees two-theta, in order of rising 2θ:
2θ 19.09, rel. 30
2θ 21.06, rel. 21
2θ 26.32, rel. 100
2θ 29.18, rel. 37
2θ 31.75, rel. 20
2θ 37.70, rel. 16
2θ 45.72, rel. 15
2θ 46.47, rel. 26
2θ 50.92, rel. 16
2θ 60.54, rel. 18

Structure:
Lattice parameters (Å, degrees): 5.7569 5.7569 4.2215 91.94 91.94 72.15
Sites, in units of the cell vectors:
Ni: 0.1174 0.1174 0.2726
Ni: 0.8826 0.8826 0.7274
Pd: 0.5000 0.5000 0.5000
F: 0.0965 0.0965 0.7632
F: 0.1931 0.5978 0.7301
F: 0.3276 0.3276 0.2203
F: 0.4022 0.8069 0.2699
F: 0.5978 0.1931 0.7301
F: 0.6724 0.6724 0.7797
F: 0.8069 0.4022 0.2699
F: 0.9035 0.9035 0.2368

***

Diffraction record for NiPd2F11. The powder diffractogram is simulated, not measured: it uses DFT lattice parameters and positions (PBE+U) and Cu Kα, 1.54184 Å.

Principal peaks in the range 10 to 90 degrees two-theta, in order of rising 2θ:
2θ 17.47, rel. 43
2θ 22.55, rel. 54
2θ 23.31, rel. 100
2θ 24.93, rel. 27
2θ 27.69, rel. 37
2θ 30.28, rel. 18
2θ 34.30, rel. 19
2θ 46.04, rel. 16
2θ 47.10, rel. 27
2θ 49.58, rel. 18

Structure:
Lattice parameters (Å, degrees): 8.0974 8.0974 8.0974 118.03 108.44 102.35
Sites, in units of the cell vectors:
Ni: 0.2500 0.2500 0.0000
Ni: 0.7500 0.7500 0.0000
Pd: 0.1410 0.6885 0.8295
Pd: 0.3590 0.1885 0.5475
Pd: 0.6410 0.8115 0.4525
Pd: 0.8590 0.3115 0.1705
F: 0.0000 0.5000 0.5000
F: 0.0964 0.3157 0.1471
F: 0.0992 0.4425 0.8186
F: 0.1239 0.9425 0.3433
F: 0.1686 0.9494 0.8529
F: 0.2114 0.3361 0.5474
F: 0.2886 0.8361 0.1247
F: 0.3314 0.1843 0.7807
F: 0.3761 0.7194 0.8186
F: 0.4008 0.2194 0.3433
F: 0.4036 0.5506 0.2193
F: 0.5000 0.0000 0.5000
F: 0.5964 0.4494 0.7807
F: 0.5992 0.7806 0.6567
F: 0.6239 0.2806 0.1814
F: 0.6686 0.8157 0.2193
F: 0.7114 0.1639 0.8753
F: 0.7886 0.6639 0.4526
F: 0.8314 0.0506 0.1471
F: 0.8761 0.0575 0.6567
F: 0.9008 0.5575 0.1814
F: 0.9036 0.6843 0.8529

***

Diffraction record for PmNiF5. The powder diffractogram is simulated, not measured: it uses DFT lattice parameters and positions (PBE+U) and Cu Kα, 1.54184 Å.

Principal peaks in the range 10 to 90 degrees two-theta, in order of rising 2θ:
2θ 17.00, rel. 25
2θ 21.27, rel. 100
2θ 26.54, rel. 97
2θ 26.70, rel. 39
2θ 34.15, rel. 20
2θ 34.38, rel. 34
2θ 43.33, rel. 26
2θ 46.76, rel. 19
2θ 47.05, rel. 18
2θ 51.66, rel. 27

Structure:
Lattice parameters (Å, degrees): 5.6786 5.6786 7.7718 109.67 109.67 72.03
Sites, in units of the cell vectors:
Pm: 0.0567 0.9433 0.7500
Pm: 0.9433 0.0567 0.2500
Ni: 0.5000 0.5000 0.0000
Ni: 0.5000 0.5000 0.5000
F: 0.1849 0.7983 0.0332
F: 0.2017 0.8151 0.4668
F: 0.2442 0.2846 0.3799
F: 0.2846 0.2442 0.8799
F: 0.4065 0.5935 0.7500
F: 0.5935 0.4065 0.2500
F: 0.7154 0.7558 0.1201
F: 0.7558 0.7154 0.6201
F: 0.7983 0.1849 0.5332
F: 0.8151 0.2017 0.9668